Entry 1:
Diffraction record for NaW2O6. The powder X-ray diffraction pattern is simulated, not measured: it uses DFT lattice parameters and positions (PBE+U) and Cu Kα (weighted mean of Kα1 and Kα2).

Atomic structure:
abc: 7.806 7.806 7.806
angles: 90.00 90.00 90.00
Space group Fm-3m (No. 225)
Unique sites:
1 Na 0.000 0.000 0.000
2 W 0.250 0.250 0.250
3 O 0.000 0.250 0.250

Principal peaks in the range 2θ from 10° to 90°, low angle first:
- (2 0 0), 2θ = 22.8°, intensity 100
- (2 2 0), 2θ = 32.4°, intensity 73
- (2 2 2), 2θ = 40.0°, intensity 13
- (4 0 0), 2θ = 46.5°, intensity 25
- (4 2 0), 2θ = 52.4°, intensity 42
- (4 2 2), 2θ = 57.9°, intensity 30
- (4 4 0), 2θ = 67.9°, intensity 15
- (6 0 0), 2θ = 72.7°, intensity 20

Entry 2:
Diffraction record for Na5W7O21. The powder X-ray diffraction pattern is simulated, not measured: it uses DFT lattice parameters and positions (PBE+U) and Cu Kα (weighted mean of Kα1 and Kα2).

Atomic structure:
abc: 22.938 5.645 6.798
angles: 90.00 101.32 90.00
Space group C2/m (No. 12)
Unique sites:
1 Na 0.000 0.000 0.000
2 Na 0.072 0.500 0.714
3 Na 0.215 0.500 0.146
4 W 0.000 0.000 0.500
5 W 0.073 0.500 0.215
6 W 0.144 0.000 0.928
7 W 0.214 0.500 0.639
8 O 0.000 0.500 0.000
9 O 0.035 0.258 0.354
10 O 0.071 0.000 0.717
11 O 0.105 0.259 0.067
12 O 0.141 0.500 0.421
13 O 0.180 0.256 0.786
14 O 0.213 0.000 0.135
15 O 0.250 0.250 0.500

Principal peaks in the range 2θ from 10° to 90°, low angle first:
- (3 1 -1), 2θ = 22.5°, intensity 100
- (4 0 1), 2θ = 22.6°, intensity 49
- (0 2 0), 2θ = 31.7°, intensity 21
- (7 1 0), 2θ = 32.1°, intensity 82
- (6 2 -2), 2θ = 45.9°, intensity 28
- (2 2 -3), 2θ = 51.7°, intensity 21
- (11 1 1), 2θ = 51.9°, intensity 21
- (5 1 -4), 2θ = 57.4°, intensity 20

Entry 3:
Diffraction record for Na3WO4. The powder X-ray diffraction pattern is simulated, not measured: it uses DFT lattice parameters and positions (PBE+U) and Cu Kα (weighted mean of Kα1 and Kα2).

Atomic structure:
abc: 7.498 6.224 5.671
angles: 90.00 90.00 90.00
Space group Pmn2_1 (No. 31)
Unique sites:
1 Na 0.000 0.158 0.000
2 Na 0.245 0.331 0.502
3 W 0.000 0.826 0.513
4 O 0.000 0.112 0.401
5 O 0.000 0.805 0.846
6 O 0.218 0.698 0.421

Principal peaks in the range 2θ from 10° to 90°, low angle first:
- (1 1 0), 2θ = 18.5°, intensity 91
- (1 0 1), 2θ = 19.6°, intensity 100
- (0 1 1), 2θ = 21.2°, intensity 66
- (2 0 0), 2θ = 23.7°, intensity 28
- (2 1 0), 2θ = 27.8°, intensity 34
- (0 0 2), 2θ = 31.6°, intensity 41
- (2 1 1), 2θ = 32.0°, intensity 73
- (0 2 1), 2θ = 32.8°, intensity 31

Entry 4:
Diffraction record for Na5YW4O16. The powder X-ray diffraction pattern is simulated, not measured: it uses DFT lattice parameters and positions (PBE+U) and Cu Kα (weighted mean of Kα1 and Kα2).

Atomic structure:
abc: 11.672 11.672 11.419
angles: 90.00 90.00 90.00
Space group I4_1/a (No. 88, origin choice 2)
Unique sites:
1 Na 0.000 0.250 0.125
2 Na 0.119 0.456 0.845
3 Y 0.000 0.250 0.625
4 W 0.092 0.434 0.365
5 O 0.030 0.102 0.273
6 O 0.061 0.136 0.788
7 O 0.080 0.073 0.558
8 O 0.184 0.035 0.980

Principal peaks in the range 2θ from 10° to 90°, low angle first:
- (1 0 1), 2θ = 10.8°, intensity 27
- (1 2 1), 2θ = 18.7°, intensity 71
- (3 0 1), 2θ = 24.2°, intensity 16
- (3 1 2), 2θ = 28.8°, intensity 100
- (1 2 3), 2θ = 29.0°, intensity 24
- (2 4 0), 2θ = 34.4°, intensity 21
- (2 4 4), 2θ = 47.2°, intensity 29
- (1 7 2), 2θ = 58.2°, intensity 24

Entry 5:
Diffraction record for Na3Zn2W3O12. The powder X-ray diffraction pattern is simulated, not measured: it uses DFT lattice parameters and positions (PBE+U) and Cu Kα (weighted mean of Kα1 and Kα2).

Atomic structure:
abc: 12.183 14.113 7.389
angles: 90.00 114.19 90.00
Space group C2/c (No. 15)
Unique sites:
1 Na 0.000 0.000 0.000
2 Na 0.000 0.235 0.250
3 Na 0.000 0.476 0.750
4 Zn 0.211 0.347 0.130
5 W 0.000 0.224 0.750
6 W 0.225 0.393 0.621
7 O 0.042 0.301 0.980
8 O 0.113 0.135 0.733
9 O 0.119 0.082 0.304
10 O 0.146 0.493 0.087
11 O 0.172 0.332 0.384
12 O 0.210 0.327 0.822

Principal peaks in the range 2θ from 10° to 90°, low angle first:
- (2 0 0), 2θ = 15.9°, intensity 32
- (1 1 1), 2θ = 19.0°, intensity 48
- (2 2 -1), 2θ = 20.4°, intensity 53
- (1 3 -1), 2θ = 22.6°, intensity 56
- (1 1 -2), 2θ = 25.1°, intensity 63
- (2 4 0), 2θ = 30.0°, intensity 100
- (1 3 -2), 2θ = 30.9°, intensity 32
- (4 0 0), 2θ = 32.2°, intensity 52